Starting from the PBE geometry in Alexandria, the powder XRD pattern of CaPmC2O6 was simulated for Cu Kα.

Most intense lines, 2θ from 10° to 90°, low angle first:
| d_spacing | I (rel.) | index |
| --- | --- | --- |
| 6.268 | 1000 | 1 1 0 |
| 4.089 | 349 | 2 0 0 |
| 3.821 | 443 | 0 2 1 |
| 3.073 | 575 | 0 0 2 |
| 3.045 | 937 | 2 2 -1 |
| 2.820 | 337 | 1 3 -1 |
| 2.594 | 336 | 2 2 1 |
| 2.109 | 237 | 3 3 -1 |

Structural model:
```
data_CaPmC2O6
_chemical_formula_sum 'Ca4 Pm4 C8 O24'
_symmetry_space_group_name_H-M 'C 1 2/c 1'
_symmetry_Int_Tables_number 15
_symmetry_space_group_name_Hall '-C 2yc'
_cell_length_a 8.4633
_cell_length_b 9.7568
_cell_length_c 6.3591
_cell_angle_alpha 90.00
_cell_angle_beta 104.89
_cell_angle_gamma 90.00
loop_
_atom_site_label
_atom_site_fract_x
_atom_site_fract_y
_atom_site_fract_z
Ca1 0.0000 0.1685 0.2500
Pm1 0.0000 0.4104 0.7500
C1 0.2301 0.1065 0.7261
O1 0.1303 0.3626 0.1310
O2 0.1327 0.2031 0.6330
O3 0.1964 0.0224 0.1875
```

=====

Starting from the PBE geometry in Alexandria, the powder XRD pattern of Ca4Tl2CO9 was simulated for Cu Kα.

Most intense lines, 2θ from 10° to 90°, low angle first:
| d_spacing | I (rel.) | index |
| --- | --- | --- |
| 3.438 | 286 | 1 0 1 |
| 3.222 | 1000 | 1 2 1 |
| 3.074 | 283 | 0 6 0 |
| 2.756 | 935 | 1 4 1 |
| 2.448 | 341 | 2 0 0 |
| 2.415 | 322 | 0 0 2 |
| 2.306 | 283 | 0 8 0 |
| 1.915 | 345 | 2 6 0 |

Structural model:
```
data_Ca4Tl2CO9
_chemical_formula_sum 'Ca8 Tl4 C2 O18'
_symmetry_space_group_name_H-M 'I m m 2'
_symmetry_Int_Tables_number 44
_symmetry_space_group_name_Hall 'I 2 -2'
_cell_length_a 4.8954
_cell_length_b 18.4467
_cell_length_c 4.8300
_cell_angle_alpha 90.00
_cell_angle_beta 90.00
_cell_angle_gamma 90.00
loop_
_atom_site_label
_atom_site_fract_x
_atom_site_fract_y
_atom_site_fract_z
Ca1 0.0000 0.1082 0.0000
Ca2 0.0000 0.3905 0.0164
Tl1 0.0000 0.2463 0.5039
C1 0.0000 0.5000 0.5041
O1 0.0000 0.1286 0.5015
O2 0.0000 0.2499 0.0042
O3 0.0000 0.3623 0.5085
O4 0.0000 0.5000 0.7731
O5 0.2284 0.5000 0.3679
```

=====

Starting from the PBE geometry in Alexandria, the powder XRD pattern of Ca2YPC was simulated for Cu Kα.

Most intense lines, 2θ from 10° to 90°, low angle first:
| d_spacing | I (rel.) | index |
| --- | --- | --- |
| 4.825 | 282 | 1 0 0 |
| 3.413 | 154 | 1 1 0 |
| 2.786 | 1000 | 1 1 1 |
| 2.413 | 602 | 2 0 0 |
| 2.158 | 132 | 2 1 0 |
| 1.706 | 386 | 2 2 0 |
| 1.455 | 373 | 3 1 1 |
| 1.107 | 152 | 3 3 1 |

Structural model:
```
data_Ca2YPC
_chemical_formula_sum 'Ca2 Y1 P1 C1'
_symmetry_space_group_name_H-M 'P 4/m m m'
_symmetry_Int_Tables_number 123
_symmetry_space_group_name_Hall '-P 4 2'
_cell_length_a 4.8250
_cell_length_b 4.8250
_cell_length_c 4.8282
_cell_angle_alpha 90.00
_cell_angle_beta 90.00
_cell_angle_gamma 90.00
loop_
_atom_site_label
_atom_site_fract_x
_atom_site_fract_y
_atom_site_fract_z
Ca1 0.0000 0.5000 0.0000
Y1 0.0000 0.0000 0.5000
P1 0.5000 0.5000 0.5000
C1 0.0000 0.0000 0.0000
```

=====

- Which formula does entry 2 have?
  Ca4Tl2CO9